SbSeCl2: calculated XRD peak list (Cu Kα), based on DFT lattice parameters and positions (PBE).
Peak positions follow from Bragg's law for the DFT cell and can differ from measured ones.

Principal peaks in the range 10° ≤ 2θ ≤ 90°, by angle:
two_theta  d/Å  I_rel
12.72  6.957  100.0
17.37  5.106  23.1
23.97  3.712  10.1
27.23  3.275  42.0
32.63  2.744  21.6
35.01  2.563  9.9
35.15  2.553  17.1
35.36  2.538  33.7
43.00  2.104  23.9
48.88  1.863  25.6

Cell and atoms:
```
SbSeCl2
1.0
2.744 -6.957 0.000
2.744 6.957 0.000
0.000 0.000 3.712
Sb Se Cl
1 1 2
Cartesian
0.000 0.000 0.000
2.744 0.000 0.000
2.744 5.051 1.856
2.744 -5.051 1.856
```


Sb2SeCl: calculated XRD peak list (Cu Kα), based on DFT lattice parameters and positions (PBE).
Peak positions follow from Bragg's law for the DFT cell and can differ from measured ones.

Principal peaks in the range 10° ≤ 2θ ≤ 90°, by angle:
two_theta  d/Å  I_rel
12.51  7.075  100.0
21.13  4.205  32.8
25.18  3.537  24.5
29.77  3.001  27.7
31.69  2.824  95.9
33.74  2.657  32.4
37.87  2.375  26.1
38.16  2.358  18.5
41.35  2.183  31.6
46.70  1.945  19.8

Cell and atoms:
```
Sb2SeCl
1.0
7.207 -1.945 0.000
7.207 1.945 0.000
-0.881 0.000 4.545
Sb Se Cl
2 1 1
Cartesian
0.000 0.000 0.000
9.232 0.000 1.252
1.505 0.000 3.445
5.408 0.000 2.696
```


SrSb2Cl: calculated XRD peak list (Cu Kα), based on DFT lattice parameters and positions (PBE).
Peak positions follow from Bragg's law for the DFT cell and can differ from measured ones.

Principal peaks in the range 10° ≤ 2θ ≤ 90°, by angle:
two_theta  d/Å  I_rel
11.22  7.886  46.4
22.55  3.943  15.3
26.65  3.345  100.0
34.54  2.596  21.7
37.64  2.390  19.6
38.44  2.342  46.4
40.17  2.245  13.3
45.03  2.013  13.8
47.39  1.918  20.2
62.60  1.484  17.2

Cell and atoms:
```
SrSb2Cl
1.0
2.342 1.352 7.886
-2.342 1.352 7.886
0.000 -2.704 7.886
Sr Sb Cl
1 2 1
Cartesian
0.000 0.000 0.000
0.000 0.000 5.684
0.000 0.000 12.415
0.000 0.000 16.939
```


SrSbCl2: calculated XRD peak list (Cu Kα), based on DFT lattice parameters and positions (PBE).
Peak positions follow from Bragg's law for the DFT cell and can differ from measured ones.

Principal peaks in the range 10° ≤ 2θ ≤ 90°, by angle:
two_theta  d/Å  I_rel
14.19  6.243  100.0
25.56  3.485  22.0
26.56  3.357  15.3
29.35  3.043  80.1
36.46  2.464  37.6
38.73  2.325  62.6
39.31  2.292  32.0
58.02  1.590  14.5
61.30  1.512  19.1
67.13  1.394  23.2

Cell and atoms:
```
SrSbCl2
1.0
3.485 0.000 0.000
0.000 3.485 0.000
0.000 0.000 12.486
Sr Sb Cl
1 1 2
Cartesian
0.000 0.000 0.000
0.000 0.000 6.243
1.742 1.742 1.651
1.742 1.742 10.836
```


Sr2TlSbCl8: calculated XRD peak list (Cu Kα), based on DFT lattice parameters and positions (PBE).
Peak positions follow from Bragg's law for the DFT cell and can differ from measured ones.

Principal peaks in the range 10° ≤ 2θ ≤ 90°, by angle:
two_theta  d/Å  I_rel
18.78  4.726  100.0
23.53  3.781  25.7
23.76  3.745  46.2
27.16  3.283  24.8
35.70  2.515  38.5
36.18  2.483  58.3
39.59  2.276  14.0
44.16  2.051  21.7
44.72  2.026  21.5
45.90  1.977  12.3

Cell and atoms:
```
Sr2TlSbCl8
1.0
6.584 0.000 0.000
0.000 9.105 0.000
-0.022 0.000 6.788
Sr Tl Sb Cl
2 1 1 8
Cartesian
0.000 2.276 0.000
0.000 6.829 0.000
3.281 0.000 3.394
3.281 4.553 3.394
1.473 0.000 0.915
1.602 4.553 1.215
1.763 2.651 4.484
1.763 6.454 4.484
4.800 2.651 2.305
4.800 6.454 2.305
4.960 4.553 5.573
5.089 0.000 5.873
```